The following is a calculated powder diffractogram of V3P4O16. It was derived from a structure optimized by DFT (GGA+U), using Cu Kα, 1.54184 Å.
Peak positions follow from Bragg's law for the DFT cell and can differ from measured ones.

Crystal structure
```
V3P4O16
1.0
8.359 0.000 0.000
0.000 5.126 0.000
-6.555 0.000 14.266
V P O
6 8 32
direct
0.000 0.000 0.000 V
0.000 0.500 0.500 V
0.319 0.111 0.302 V
0.319 0.389 0.802 V
0.681 0.611 0.198 V
0.681 0.889 0.698 V
0.026 0.501 0.144 P
0.026 0.999 0.644 P
0.427 0.084 0.120 P
0.427 0.416 0.620 P
0.573 0.584 0.380 P
0.573 0.916 0.880 P
0.974 0.001 0.356 P
0.974 0.499 0.856 P
0.031 0.709 0.934 O
0.031 0.791 0.434 O
0.062 0.732 0.612 O
0.062 0.768 0.112 O
0.132 0.022 0.327 O
0.132 0.478 0.827 O
0.190 0.082 0.731 O
0.190 0.418 0.231 O
0.247 0.103 0.037 O
0.247 0.397 0.537 O
0.407 0.052 0.214 O
0.407 0.448 0.714 O
0.459 0.681 0.875 O
0.459 0.819 0.375 O
0.484 0.172 0.892 O
0.484 0.328 0.392 O
0.516 0.672 0.608 O
0.516 0.828 0.108 O
0.541 0.181 0.625 O
0.541 0.319 0.125 O
0.593 0.552 0.286 O
0.593 0.948 0.786 O
0.753 0.603 0.463 O
0.753 0.897 0.963 O
0.810 0.582 0.769 O
0.810 0.918 0.269 O
0.868 0.522 0.173 O
0.868 0.978 0.673 O
0.938 0.232 0.888 O
0.938 0.268 0.388 O
0.969 0.209 0.566 O
0.969 0.291 0.066 O
```

Peak list (6 most intense, 2θ from 10° to 90°, by intensity)
25.55 deg, 3.486 Å, intensity 100, (0 1 3); 24.62 deg, 3.616 Å, intensity 82, (1 1 -3); 23.20 deg, 3.834 Å, intensity 73, (1 1 1); 26.18 deg, 3.404 Å, intensity 71, (2 0 -4); 22.69 deg, 3.919 Å, intensity 55, (1 0 -4); 13.00 deg, 6.808 Å, intensity 47, (1 0 -2)